1.
For PuPa2Os, a cell relaxed with GGA-PBE gives the calculated powder X-ray diffraction pattern in this record (Cu Ka).

Top 10 peaks for 10 to 80 degrees two-theta, in order of falling intensity:
two_theta	Rel. int.	index
33.49	100	1 1 -2
38.65	56	2 1 0
37.03	47	0 2 0
35.94	39	1 0 2
52.56	27	1 2 2
64.50	16	1 3 -2
59.58	14	0 1 4
33.76	14	2 0 0
41.86	11	2 1 -2
67.82	11	2 3 0

Cell and atoms:
abc: 5.5200 4.8549 6.8092
angles: 90.00 105.86 90.00
Atoms (fractional coordinates):
Pu  0.1546  0.2500  0.2102
Pu  0.8454  0.7500  0.7898
Pa  0.2922  0.7500  0.5654
Pa  0.3417  0.7500  0.0828
Pa  0.6583  0.2500  0.9172
Pa  0.7078  0.2500  0.4346
Os  0.1477  0.2500  0.7381
Os  0.8523  0.7500  0.2619

2.
For Sr2ZnSn3Ir4, a cell relaxed with GGA-PBE gives the calculated powder X-ray diffraction pattern in this record (Cu Ka).

Top 10 peaks for 10 to 80 degrees two-theta, in order of falling intensity:
two_theta	Rel. int.	index
32.74	100	1 1 2
40.58	86	2 0 0
43.51	76	1 1 4
31.46	59	1 0 3
21.53	35	1 0 1
58.74	31	2 2 0
75.87	31	3 1 4
45.70	30	1 0 5
52.23	28	2 1 3
15.98	28	0 0 2

Cell and atoms:
abc: 4.4460 4.4460 11.0947
angles: 90.00 90.00 90.00
Atoms (fractional coordinates):
Sr  0.0000  0.5000  0.2474
Sr  0.5000  0.0000  0.7526
Zn  0.5000  0.5000  0.0000
Sn  0.0000  0.0000  0.0000
Sn  0.0000  0.5000  0.6306
Sn  0.5000  0.0000  0.3694
Ir  0.0000  0.0000  0.5000
Ir  0.0000  0.5000  0.8700
Ir  0.5000  0.0000  0.1300
Ir  0.5000  0.5000  0.5000

3.
For Tl6Cd2Pb3, a cell relaxed with GGA-PBE gives the calculated powder X-ray diffraction pattern in this record (Cu Ka).

Top 10 peaks for 10 to 80 degrees two-theta, in order of falling intensity:
two_theta	Rel. int.	index
31.91	100	-2 1 1
31.54	52	0 1 2
32.82	47	1 2 -1
32.71	47	1 1 -3
33.59	45	2 0 1
44.27	20	1 -3 0
56.86	17	1 0 -5
46.59	17	1 -1 4
59.26	16	4 -1 0
48.56	16	3 1 -2

Cell and atoms:
abc: 6.2941 6.6595 8.7435
angles: 111.88 97.55 98.60
Atoms (fractional coordinates):
Tl  0.0328  0.1917  0.4161
Tl  0.2477  0.9324  0.0544
Tl  0.3124  0.2927  0.8455
Tl  0.6876  0.7073  0.1545
Tl  0.7523  0.0676  0.9456
Tl  0.9672  0.8083  0.5839
Cd  0.4074  0.6311  0.6617
Cd  0.5926  0.3689  0.3383
Pb  0.1512  0.5257  0.2151
Pb  0.5000  0.0000  0.5000
Pb  0.8488  0.4743  0.7849

4.
For CeHo5Cd4, a cell relaxed with GGA-PBE gives the calculated powder X-ray diffraction pattern in this record (Cu Ka).

Top 10 peaks for 10 to 80 degrees two-theta, in order of falling intensity:
two_theta	Rel. int.	index
33.29	100	1 0 5
34.55	49	1 1 0
61.11	34	2 1 5
49.66	18	2 0 0
58.67	15	1 1 10
69.90	9	2 0 10
45.87	8	0 0 10
72.87	6	2 2 0
36.63	4	1 0 6
76.79	4	1 0 15

Cell and atoms:
abc: 3.6714 3.6714 19.7840
angles: 90.00 90.00 90.00
Atoms (fractional coordinates):
Ce  0.0000  0.0000  0.0000
Ho  0.5000  0.5000  0.1147
Ho  0.5000  0.5000  0.3087
Ho  0.5000  0.5000  0.5000
Ho  0.5000  0.5000  0.6913
Ho  0.5000  0.5000  0.8853
Cd  0.0000  0.0000  0.2112
Cd  0.0000  0.0000  0.4039
Cd  0.0000  0.0000  0.5961
Cd  0.0000  0.0000  0.7888